# 1
# LuPaBeGa
Computed powder XRD pattern, copper Kα. Input: a structure optimized by DFT (GGA-PBE).
Peak positions follow from Bragg's law for the DFT cell and can differ from measured ones.

Most intense lines, 2θ from 10° to 80°, in order of rising 2θ:
2θ (°), I_rel
22.39, 7
25.91, 55
36.97, 100
45.70, 17
53.28, 18
60.17, 23
66.62, 36
78.71, 11

Atomic structure:
Cell: 4.8629 4.8629 4.8629 Å, 60.00 60.00 60.00°
Fractional coordinates of all 4 atoms:
Lu (0.0000, 0.0000, 0.0000)
Pa (0.5000, 0.5000, 0.5000)
Be (0.2500, 0.2500, 0.2500)
Ga (0.7500, 0.7500, 0.7500)

# 2
# B4C
Computed powder XRD pattern, copper Kα. Input: a structure optimized by DFT (GGA-PBE).
Peak positions follow from Bragg's law for the DFT cell and can differ from measured ones.

Most intense lines, 2θ from 10° to 80°, in order of rising 2θ:
2θ (°), I_rel
19.59, 18
22.13, 32
23.13, 36
23.77, 46
34.74, 61
35.71, 32
37.65, 48
37.98, 100

Atomic structure:
Cell: 5.2086 5.2086 5.0577 Å, 113.98 113.98 65.13°
Fractional coordinates of all 15 atoms:
B (0.0000, 0.0000, 0.0000)
B (0.1763, 0.4983, 0.5042)
B (0.1888, 0.6973, 0.2941)
B (0.3046, 0.8178, 0.6897)
B (0.3106, 0.3106, 0.1771)
B (0.4983, 0.1763, 0.5042)
B (0.5065, 0.8315, 0.4840)
B (0.5086, 0.5086, 0.1512)
B (0.6937, 0.6937, 0.8081)
B (0.6973, 0.1888, 0.2941)
B (0.8178, 0.3046, 0.6897)
B (0.8315, 0.5065, 0.4840)
C (0.1213, 0.1213, 0.8848)
C (0.4973, 0.4973, 0.8138)
C (0.8759, 0.8759, 0.1075)

# 3
# Mg3CdPd3
Computed powder XRD pattern, copper Kα. Input: a structure optimized by DFT (GGA-PBE).
Peak positions follow from Bragg's law for the DFT cell and can differ from measured ones.

Most intense lines, 2θ from 10° to 80°, in order of rising 2θ:
2θ (°), I_rel
19.80, 89
28.00, 17
34.41, 44
39.80, 100
40.23, 97
44.84, 21
57.88, 32
72.55, 32

Atomic structure:
Cell: 5.5381 5.5381 5.5381 Å, 109.75 109.75 109.75°
Fractional coordinates of all 7 atoms:
Mg (0.0001, 0.4999, 0.4999)
Mg (0.4999, 0.0001, 0.4999)
Mg (0.4999, 0.4999, 0.0001)
Cd (0.9991, 0.9991, 0.9991)
Pd (0.9999, 0.9999, 0.4997)
Pd (0.9999, 0.4997, 0.9999)
Pd (0.4997, 0.9999, 0.9999)